Starting from a crystal structure in Alexandria, relaxed with PBE+U, the X-ray diffraction stick pattern of PmCr2IrO8 was computed for Cu Kα (weighted mean of Kα1 and Kα2).
No peak broadening, texture or thermal motion is included.

Structural model:
a b c (Å): 4.734 6.417 4.742
angles (deg): 90.00 91.45 90.00
Sites, in units of the cell vectors:
Pm 0.000 0.000 0.000
Cr 0.500 0.249 0.500
Cr 0.500 0.751 0.500
Ir 0.000 0.500 0.000
O 0.210 0.288 0.208
O 0.210 0.712 0.208
O 0.290 0.500 0.708
O 0.328 0.000 0.669
O 0.672 0.000 0.331
O 0.710 0.500 0.292
O 0.790 0.288 0.792
O 0.790 0.712 0.792

Top 10 peaks for 5 to 70 degrees two-theta, sorted by position:
2θ/deg  intensity
18.73  60.4
26.27  63.8
26.95  56.8
33.74  100.0
37.99  25.8
39.11  24.2
42.23  14.9
51.32  42.3
52.10  36.9
65.94  22.9